Record 1
Computed powder diffractogram of LiCa4 for λ = 1.5418 Å (Cu Kα), from a structure optimized by DFT (GGA-PBE).
Intensities are scaled so that the largest is 100.

Crystal structure
Lattice parameters (Å, degrees): 3.9944 3.9944 23.6214 90.00 90.00 90.00
Space group I4/mmm (No. 139)
One atom of each set of equivalent atoms:
Li1 0.0000 0.0000 0.0000 [2 per cell]
Ca1 0.0000 0.0000 0.1942 [4 per cell]
Ca2 0.0000 0.0000 0.4180 [4 per cell]

Main lines, sorted by position (2θ = 10–90°):
(1 0 1), d = 3.938 Å, 2θ 22.58, I 15; (1 0 3), d = 3.562 Å, 2θ 25.00, I 30; (1 0 5), d = 3.050 Å, 2θ 29.28, I 100; (1 1 0), d = 2.824 Å, 2θ 31.68, I 48; (1 1 8), d = 2.041 Å, 2θ 44.38, I 17; (2 0 0), d = 1.997 Å, 2θ 45.41, I 16; (2 1 5), d = 1.671 Å, 2θ 54.95, I 29; (1 0 13), d = 1.654 Å, 2θ 55.56, I 21

***

Record 2
Computed powder diffractogram of In3Pd8Pb2 for λ = 1.5418 Å (Cu Kα), from a structure optimized by DFT (GGA-PBE).
Intensities are scaled so that the largest is 100.

Crystal structure
Lattice parameters (Å, degrees): 5.4627 5.4627 29.9083 90.00 90.00 120.00
Space group R-3m (No. 166, hexagonal axes)
One atom of each set of equivalent atoms:
In1 0.0000 0.0000 0.0000 [3 per cell]
In2 0.0000 0.0000 0.1898 [6 per cell]
Pd1 0.0000 0.0000 0.2784 [6 per cell]
Pd2 0.0012 0.5006 0.7793 [18 per cell]
Pb1 0.0000 0.0000 0.3696 [6 per cell]

Main lines, sorted by position (2θ = 10–90°):
(1 1 0), d = 2.731 Å, 2θ 32.79, I 74; (1 1 3), d = 2.634 Å, 2θ 34.03, I 46; (0 1 11), d = 2.357 Å, 2θ 38.18, I 100; (2 0 2), d = 2.336 Å, 2θ 38.53, I 65; (2 0 5), d = 2.200 Å, 2θ 41.03, I 59; (1 1 9), d = 2.110 Å, 2θ 42.86, I 39; (1 2 11), d = 1.494 Å, 2θ 62.13, I 49; (2 2 0), d = 1.366 Å, 2θ 68.73, I 39

***

Record 3
Computed powder diffractogram of La5Cd4 for λ = 1.5418 Å (Cu Kα), from a structure optimized by DFT (GGA-PBE).
Intensities are scaled so that the largest is 100.

Crystal structure
Lattice parameters (Å, degrees): 10.4068 10.4068 4.9024 90.00 90.00 90.00
Space group I4/mmm (No. 139)
One atom of each set of equivalent atoms:
La1 0.0000 0.0000 0.0000 [2 per cell]
La2 0.1713 0.1713 0.5000 [8 per cell]
Cd1 0.0000 0.3489 0.0000 [8 per cell]

Main lines, sorted by position (2θ = 10–90°):
(3 0 1), d = 2.832 Å, 2θ 31.60, I 100; (0 0 2), d = 2.452 Å, 2θ 36.64, I 50; (3 3 2), d = 1.734 Å, 2θ 52.79, I 33; (3 0 3), d = 1.479 Å, 2θ 62.84, I 38; (6 0 2), d = 1.416 Å, 2θ 65.98, I 11; (0 0 4), d = 1.226 Å, 2θ 77.91, I 5; (6 3 3), d = 1.125 Å, 2θ 86.49, I 15; (3 3 4), d = 1.097 Å, 2θ 89.33, I 14

***

Record 4
Computed powder diffractogram of TaSiHg4 for λ = 1.5418 Å (Cu Kα), from a structure optimized by DFT (GGA-PBE).
Intensities are scaled so that the largest is 100.

Crystal structure
Lattice parameters (Å, degrees): 8.1061 8.1061 8.1061 90.00 90.00 90.00
Space group F-43m (No. 216)
One atom of each set of equivalent atoms:
Ta1 0.0000 0.0000 0.0000 [4 per cell]
Si1 0.2500 0.2500 0.2500 [4 per cell]
Hg1 0.1252 0.1252 0.6252 [16 per cell]

Main lines, sorted by position (2θ = 10–90°):
(1 1 1), d = 4.680 Å, 2θ 18.96, I 40; (3 1 1), d = 2.444 Å, 2θ 36.77, I 100; (2 2 2), d = 2.340 Å, 2θ 38.47, I 63; (4 0 0), d = 2.027 Å, 2θ 44.72, I 17; (3 3 3), d = 1.560 Å, 2θ 59.23, I 34; (4 4 0), d = 1.433 Å, 2θ 65.09, I 32; (5 3 3), d = 1.236 Å, 2θ 77.16, I 12; (6 2 2), d = 1.222 Å, 2θ 78.22, I 25

***

Record 5
Computed powder diffractogram of BaLiGeS3 for λ = 1.5418 Å (Cu Kα), from a structure optimized by DFT (GGA-PBE).
Intensities are scaled so that the largest is 100.

Crystal structure
Lattice parameters (Å, degrees): 11.2818 7.4296 8.3002 90.00 120.58 90.00
Space group C2/m (No. 12)
One atom of each set of equivalent atoms:
Ba1 0.2052 0.0000 0.2057 [4 per cell]
Li1 0.0000 0.1749 0.5000 [4 per cell]
Ge1 0.0396 0.5000 0.1676 [4 per cell]
S1 0.0590 0.2490 0.8063 [8 per cell]
S2 0.2362 0.0000 0.6136 [4 per cell]

Main lines, sorted by position (2θ = 10–90°):
(1 1 1), d = 3.985 Å, 2θ 22.31, I 61; (0 2 0), d = 3.715 Å, 2θ 23.95, I 57; (0 0 2), d = 3.577 Å, 2θ 24.89, I 100; (3 1 -1), d = 3.350 Å, 2θ 26.61, I 76; (2 2 -1), d = 3.084 Å, 2θ 28.95, I 57; (3 1 0), d = 2.968 Å, 2θ 30.11, I 57; (2 2 -2), d = 2.726 Å, 2θ 32.85, I 66; (3 1 -3), d = 2.517 Å, 2θ 35.67, I 61

***

Record 6
Computed powder diffractogram of Ce4SbRu2 for λ = 1.5418 Å (Cu Kα), from a structure optimized by DFT (GGA-PBE).
Intensities are scaled so that the largest is 100.

Crystal structure
Lattice parameters (Å, degrees): 11.2030 13.8230 8.7380 90.00 90.00 90.00
Space group Fdd2 (No. 43)
One atom of each set of equivalent atoms:
Ce1 0.0603 0.0913 0.0000 [16 per cell]
Ce2 0.1130 0.2084 0.5870 [16 per cell]
Sb1 0.0000 0.0000 0.6603 [8 per cell]
Ru1 0.0175 0.2094 0.3192 [16 per cell]

Main lines, sorted by position (2θ = 10–90°):
(2 2 2), d = 3.083 Å, 2θ 28.96, I 34; (1 1 3), d = 2.762 Å, 2θ 32.41, I 68; (3 3 1), d = 2.753 Å, 2θ 32.52, I 100; (4 2 0), d = 2.596 Å, 2θ 34.55, I 20; (1 5 1), d = 2.566 Å, 2θ 34.97, I 59; (2 4 2), d = 2.440 Å, 2θ 36.84, I 18; (4 2 2), d = 2.232 Å, 2θ 40.42, I 50; (2 4 4), d = 1.754 Å, 2θ 52.16, I 15

***

> What is the formula in the first record?

LiCa4